Simulated powder X-ray diffraction pattern
Compound: CaGe2
Radiation: Cu Kα
Structure: a DFT-relaxed cell (PBE, Alexandria)
Peak positions follow from Bragg's law for the DFT cell and can differ from measured ones.

Structure:
Unit cell a=10.327 b=10.327 c=10.327 alpha=22.72 beta=22.72 gamma=22.72
Fractional positions:
Ca 0.080 0.080 0.080
Ca 0.920 0.920 0.920
Ge 0.185 0.185 0.185
Ge 0.350 0.350 0.350
Ge 0.650 0.650 0.650
Ge 0.815 0.815 0.815

Largest 10 diffraction maxima, by intensity, 2θ = 10–90°:
- 32.83°, d 2.728, rel. 100.0
- 44.54°, d 2.034, rel. 87.7
- 41.73°, d 2.164, rel. 64.5
- 27.95°, d 3.192, rel. 60.6
- 17.64°, d 5.028, rel. 48.0
- 34.85°, d 2.575, rel. 28.3
- 25.97°, d 3.431, rel. 27.7
- 48.26°, d 1.886, rel. 22.6
- 56.42°, d 1.631, rel. 20.0
- 64.35°, d 1.448, rel. 18.7